Record 1
LiAgF2: simulated powder X-ray diffraction pattern (λ = 1.5418 Å (Cu Kα)), based on a PBE-relaxed structure.

Crystal structure
Cell lengths 3.035, 3.035, 6.093 Å; angles 90.97, 90.97, 60.62 degrees
Sites, in units of the cell vectors:
Li: 0.000 0.000 0.000
Ag: 0.500 0.500 0.500
F: 0.328 0.328 0.819
F: 0.672 0.672 0.181

Main lines, by angle (2θ from 15° to 90°):
2θ = 29.3°, intensity 38.5; 2θ = 33.9°, intensity 100.0; 2θ = 34.2°, intensity 27.9; 2θ = 36.9°, intensity 30.4; 2θ = 37.2°, intensity 96.5; 2θ = 37.6°, intensity 49.9; 2θ = 44.6°, intensity 29.2; 2θ = 45.2°, intensity 72.6; 2θ = 56.9°, intensity 32.8; 2θ = 57.5°, intensity 20.2

***

Record 2
Fe4IrN4: simulated powder X-ray diffraction pattern (λ = 1.5418 Å (Cu Kα)), based on a PBE-relaxed structure.

Crystal structure
Cell lengths 5.416, 5.646, 6.625 Å; angles 91.87, 103.68, 117.36 degrees
Sites, in units of the cell vectors:
Fe: 0.034 0.321 0.092
Fe: 0.271 0.587 0.471
Fe: 0.310 0.054 0.718
Fe: 0.411 0.658 0.924
Fe: 0.589 0.342 0.076
Fe: 0.690 0.946 0.282
Fe: 0.729 0.413 0.529
Fe: 0.966 0.679 0.908
Ir: 0.209 0.006 0.278
Ir: 0.791 0.994 0.722
N: 0.143 0.673 0.690
N: 0.221 0.272 0.888
N: 0.273 0.703 0.165
N: 0.333 0.283 0.516
N: 0.667 0.717 0.484
N: 0.727 0.297 0.835
N: 0.779 0.728 0.112
N: 0.857 0.327 0.310

Main lines, by angle (2θ from 15° to 90°):
2θ = 17.9°, intensity 53.2; 2θ = 20.3°, intensity 50.2; 2θ = 30.9°, intensity 54.6; 2θ = 36.0°, intensity 100.0; 2θ = 37.5°, intensity 57.6; 2θ = 38.5°, intensity 61.9; 2θ = 42.5°, intensity 41.3; 2θ = 48.4°, intensity 48.0; 2θ = 50.0°, intensity 50.1; 2θ = 57.3°, intensity 33.7

***

Record 3
CaMg6AlO8: simulated powder X-ray diffraction pattern (λ = 1.5418 Å (Cu Kα)), based on a PBE-relaxed structure.

Crystal structure
Cell lengths 4.443, 4.443, 8.583 Å; angles 90.00, 90.00, 90.00 degrees
Sites, in units of the cell vectors:
Ca: 0.000 0.000 0.000
Mg: 0.000 0.500 0.255
Mg: 0.000 0.500 0.745
Mg: 0.500 0.000 0.255
Mg: 0.500 0.000 0.745
Mg: 0.500 0.500 0.000
Mg: 0.500 0.500 0.500
Al: 0.000 0.000 0.500
O: 0.000 0.000 0.276
O: 0.000 0.000 0.724
O: 0.000 0.500 0.000
O: 0.000 0.500 0.500
O: 0.500 0.000 0.000
O: 0.500 0.000 0.500
O: 0.500 0.500 0.249
O: 0.500 0.500 0.751

Main lines, by angle (2θ from 15° to 90°):
2θ = 35.4°, intensity 20.4; 2θ = 37.4°, intensity 2.0; 2θ = 40.6°, intensity 100.0; 2θ = 42.1°, intensity 42.7; 2θ = 58.8°, intensity 28.7; 2θ = 59.9°, intensity 51.7; 2θ = 70.5°, intensity 8.6; 2θ = 72.6°, intensity 4.5; 2θ = 74.9°, intensity 24.0; 2θ = 87.9°, intensity 7.7

***

Record 4
Tl2TeP2O14: simulated powder X-ray diffraction pattern (λ = 1.5418 Å (Cu Kα)), based on a PBE-relaxed structure.

Crystal structure
Cell lengths 4.973, 16.129, 7.423 Å; angles 90.00, 107.53, 90.00 degrees
Sites, in units of the cell vectors:
Tl: 0.117 0.124 0.268
Tl: 0.117 0.376 0.768
Tl: 0.883 0.624 0.232
Tl: 0.883 0.876 0.732
Te: 0.500 0.000 0.000
Te: 0.500 0.500 0.500
P: 0.223 0.676 0.914
P: 0.223 0.824 0.414
P: 0.777 0.176 0.586
P: 0.777 0.324 0.086
O: 0.046 0.748 0.816
O: 0.046 0.752 0.316
O: 0.073 0.610 0.993
O: 0.073 0.890 0.493
O: 0.117 0.513 0.354
O: 0.117 0.987 0.854
O: 0.254 0.626 0.707
O: 0.254 0.874 0.207
O: 0.415 0.101 0.106
O: 0.415 0.399 0.606
O: 0.452 0.565 0.751
O: 0.452 0.935 0.251
O: 0.474 0.196 0.474
O: 0.474 0.304 0.974
O: 0.526 0.696 0.026
O: 0.526 0.804 0.526
O: 0.548 0.065 0.749
O: 0.548 0.435 0.249
O: 0.585 0.601 0.394
O: 0.585 0.899 0.894
O: 0.746 0.126 0.793
O: 0.746 0.374 0.293
O: 0.883 0.013 0.146
O: 0.883 0.487 0.646
O: 0.927 0.110 0.507
O: 0.927 0.390 0.007
O: 0.954 0.248 0.684
O: 0.954 0.252 0.184

Main lines, by angle (2θ from 15° to 90°):
2θ = 16.7°, intensity 100.0; 2θ = 20.7°, intensity 39.9; 2θ = 22.1°, intensity 57.2; 2θ = 25.4°, intensity 40.9; 2θ = 26.2°, intensity 50.0; 2θ = 26.5°, intensity 42.1; 2θ = 27.9°, intensity 27.7; 2θ = 29.1°, intensity 33.6; 2θ = 33.7°, intensity 40.4; 2θ = 38.8°, intensity 24.7

***

Record 5
PmDyRu2: simulated powder X-ray diffraction pattern (λ = 1.5418 Å (Cu Kα)), based on a PBE-relaxed structure.

Crystal structure
Cell lengths 4.876, 4.876, 4.876 Å; angles 60.00, 60.00, 60.00 degrees
Sites, in units of the cell vectors:
Pm: 0.000 0.000 0.000
Dy: 0.500 0.500 0.500
Ru: 0.250 0.250 0.250
Ru: 0.750 0.750 0.750

Main lines, by angle (2θ from 15° to 90°):
2θ = 25.8°, intensity 4.6; 2θ = 36.9°, intensity 100.0; 2θ = 45.6°, intensity 1.5; 2θ = 53.1°, intensity 17.4; 2θ = 60.0°, intensity 2.0; 2θ = 66.4°, intensity 35.2; 2θ = 78.5°, intensity 11.0; 2θ = 84.3°, intensity 1.0; 2θ = 90.0°, intensity 16.2

***

> Number 3 is which compound?

CaMg6AlO8